# 1
Structure and theoretical powder diffraction line list of TbPrTlNi2 (a crystal structure in OQMD, relaxed with PBE; Cu Kα).
No peak broadening, texture or thermal motion is included.

Principal peaks in the range 10° ≤ 2θ ≤ 90°, low angle first:
28.92 deg, I = 48.8; 33.40 deg, I = 100.0; 34.13 deg, I = 71.0; 36.65 deg, I = 14.2; 38.05 deg, I = 35.8; 45.66 deg, I = 22.3; 48.51 deg, I = 18.6; 55.16 deg, I = 19.5; 57.46 deg, I = 14.9; 58.22 deg, I = 30.7; 63.26 deg, I = 16.1; 68.81 deg, I = 12.9

Structural model:
```
5
Lattice="3.7535 0.0000 0.0000 0.0000 1.9870 7.3568 0.0000 -1.9870 7.3568" Properties=species:S:1:pos:R:3 pbc="T T T"
Tb 0.0000 0.0000 0.0000
Pr 0.0000 0.0000 10.6475
Tl 1.8767 0.0000 5.3769
Ni 1.8767 0.0000 2.2695
Ni 1.8767 0.0000 8.2258
```

=====

# 2
Structure and theoretical powder diffraction line list of GdDy2HoGa2 (a crystal structure in OQMD, relaxed with PBE; Cu Kα).
No peak broadening, texture or thermal motion is included.

Principal peaks in the range 10° ≤ 2θ ≤ 90°, low angle first:
19.85 deg, I = 4.7; 24.03 deg, I = 16.8; 33.74 deg, I = 100.0; 34.74 deg, I = 93.3; 49.21 deg, I = 34.6; 55.66 deg, I = 8.0; 61.64 deg, I = 35.2; 62.28 deg, I = 17.1; 67.31 deg, I = 27.1; 73.33 deg, I = 10.6; 83.19 deg, I = 15.2; 88.32 deg, I = 13.4

Structural model:
```
6
Lattice="5.1644 0.0000 0.0000 -2.5822 4.4725 0.0000 0.0000 0.0000 6.6049" Properties=species:S:1:pos:R:3 pbc="T T T"
Gd 0.0000 0.0000 0.0000
Dy 2.5822 1.4908 1.6636
Dy 2.5822 1.4908 4.9412
Ho 0.0000 2.9817 3.3024
Ga 0.0000 0.0000 3.3024
Ga 0.0000 2.9817 0.0000
```